# NaAl6Fe3Si6B3O30F
Simulated powder diffraction line list, copper Kα. Input: a PBE+U-relaxed structure.
Intensities are scaled so that the largest is 100.

abc: 9.5655 9.5655 9.5655
angles: 113.74 113.74 113.74
Fractional coordinates of all 50 atoms:
1 Na 0.0000 0.0000 0.0000
2 Al 0.1265 0.3445 0.6852
3 Al 0.1265 0.6852 0.3445
4 Al 0.3445 0.1265 0.6852
5 Al 0.3445 0.6852 0.1265
6 Al 0.6852 0.1265 0.3445
7 Al 0.6852 0.3445 0.1265
8 Fe 0.3298 0.3298 0.5356
9 Fe 0.3298 0.5356 0.3298
10 Fe 0.5356 0.3298 0.3298
11 Si 0.5869 0.7775 0.9702
12 Si 0.5869 0.9702 0.7775
13 Si 0.7775 0.5869 0.9702
14 Si 0.7775 0.9702 0.5869
15 Si 0.9702 0.5869 0.7775
16 Si 0.9702 0.7775 0.5869
17 B 0.0131 0.3456 0.3456
18 B 0.3456 0.0131 0.3456
19 B 0.3456 0.3456 0.0131
20 O 0.0422 0.7686 0.7686
21 O 0.1422 0.5694 0.8561
22 O 0.1422 0.8561 0.5694
23 O 0.1432 0.3265 0.3265
24 O 0.1725 0.1725 0.5722
25 O 0.1725 0.5722 0.1725
26 O 0.2819 0.4316 0.9516
27 O 0.2819 0.9516 0.4316
28 O 0.3265 0.1432 0.3265
29 O 0.3265 0.3265 0.1432
30 O 0.3660 0.5509 0.7498
31 O 0.3660 0.7498 0.5509
32 O 0.4316 0.2819 0.9516
33 O 0.4316 0.9516 0.2819
34 O 0.5509 0.3660 0.7498
35 O 0.5509 0.7498 0.3660
36 O 0.5694 0.1422 0.8561
37 O 0.5694 0.8561 0.1422
38 O 0.5722 0.1725 0.1725
39 O 0.6676 0.9476 0.9476
40 O 0.7498 0.3660 0.5509
41 O 0.7498 0.5509 0.3660
42 O 0.7686 0.0422 0.7686
43 O 0.7686 0.7686 0.0422
44 O 0.8561 0.1422 0.5694
45 O 0.8561 0.5694 0.1422
46 O 0.9476 0.6676 0.9476
47 O 0.9476 0.9476 0.6676
48 O 0.9516 0.2819 0.4316
49 O 0.9516 0.4316 0.2819
50 F 0.5506 0.5506 0.5506

The 6 most intense peaks (5° ≤ 2θ ≤ 70°), in order of falling intensity:
| 2θ (°) | I_rel |
| --- | --- |
| 34.6 | 100.0 |
| 13.7 | 69.8 |
| 29.8 | 62.7 |
| 25.2 | 62.6 |
| 22.2 | 59.7 |
| 20.8 | 50.5 |